Theoretical X-ray powder pattern of MnSiNi for Cu Ka, from a crystal structure in the Materials Project, relaxed with PBE.

Principal peaks in the range 2θ from 5° to 70°, in order of rising 2θ:
(1 1 1), 28.30 deg, intensity 64; (2 0 0), 32.79 deg, intensity 2; (2 2 0), 47.06 deg, intensity 100; (3 1 1), 55.83 deg, intensity 26; (2 2 2), 58.54 deg, intensity 1; (4 0 0), 68.75 deg, intensity 15

Crystal structure
```
data_MnSiNi
_chemical_formula_sum 'Mn4 Si4 Ni4'
_space_group_name_H-M_alt 'F -4 3 m'
_space_group_IT_number 216
_space_group_name_Hall 'F -4 2 3'
_cell_length_a 5.462
_cell_length_b 5.462
_cell_length_c 5.462
_cell_angle_alpha 90.00
_cell_angle_beta 90.00
_cell_angle_gamma 90.00
loop_
_atom_site_label
_atom_site_type_symbol
_atom_site_fract_x
_atom_site_fract_y
_atom_site_fract_z
Mn1 Mn 0.000 0.000 0.000
Si1 Si 0.000 0.000 0.500
Ni1 Ni 0.250 0.250 0.750
```